For ThSc4Zn, a crystal structure in Alexandria, relaxed with PBE gives the theoretical X-ray diffraction stick pattern in this record (Cu Kα, 1.54184 Å).
Lines closer than 0.1° are merged.

Principal peaks in the range 2θ from 10° to 80°, by angle:
13.7°, I = 51, (0 0 2)
27.5°, I = 33, (1 0 1)
30.1°, I = 30, (1 0 2)
33.9°, I = 100, (1 0 3)
38.0°, I = 41, (1 1 0)
40.6°, I = 16, (1 1 2)
44.3°, I = 17, (1 0 5)
54.8°, I = 14, (2 0 0)
57.9°, I = 15, (1 1 6)
66.1°, I = 27, (2 1 3)

Structural model:
a = 3.3485 Å, b = 3.3485 Å, c = 12.8956 Å
α = 90.00°, β = 90.00°, γ = 90.00°
Space group P4/mmm (No. 123)
Symmetry-distinct sites (fractional):
Th  0.0000  0.0000  0.0000 (multiplicity 1)
Sc  0.0000  0.0000  0.3700 (multiplicity 2)
Sc  0.5000  0.5000  0.1883 (multiplicity 2)
Zn  0.5000  0.5000  0.5000 (multiplicity 1)